Calculated X-ray diffraction stick pattern
Compound: Ag2SnTe2Se
Radiation: copper Kα
Structure: a crystal structure in Alexandria, relaxed with GGA-PBE

Principal peaks in the range 5° ≤ 2θ ≤ 70°, in order of rising 2θ:
d [Å], Position (°2θ), intensity, h k l
3.926, 22.65, 1000, 3 1 0
3.876, 22.95, 535, 0 2 0
3.680, 24.19, 909, 0 0 2
3.464, 25.72, 649, 3 1 1
2.277, 39.58, 466, 6 0 0
2.247, 40.13, 912, 3 3 0
2.080, 43.50, 918, 3 1 3
1.918, 47.40, 575, 3 3 2

Crystal structure
a = 13.660 Å, b = 7.751 Å, c = 7.360 Å
α = 90.00°, β = 90.00°, γ = 90.00°
Space group Cmc2_1 (No. 36)
Asymmetric unit:
Ag 0.158 0.170 0.000 [8 per cell]
Sn 0.000 0.339 0.495 [4 per cell]
Te 0.168 0.172 0.379 [8 per cell]
Se 0.000 0.338 0.865 [4 per cell]